This entry pairs a crystal structure of Li7V4P6O24 with its computed powder diffractogram. Radiation: Cu Kα. Structure: a structure optimized by DFT (GGA+U).
No peak broadening, texture or thermal motion is included.

Top 10 peaks for 2θ from 5° to 70°, by angle:
| index | 2theta | I/Imax |
| --- | --- | --- |
| 0 1 2 | 14.29 | 52 |
| 1 0 4 | 19.62 | 53 |
| 1 1 3 | 23.95 | 100 |
| 0 2 4 | 28.82 | 38 |
| 2 -1 6 | 31.46 | 61 |
| 2 1 1 | 32.42 | 15 |
| 3 0 0 | 36.64 | 22 |
| 3 0 3 | 38.53 | 16 |
| 4 -2 6 | 49.04 | 16 |
| 3 -1 10 | 51.63 | 18 |

Crystal structure
```
data_Li7V4P6O24
_chemical_formula_sum 'Li21 V12 P18 O72'
_cell_length_a 8.4994
_cell_length_b 8.4994
_cell_length_c 22.9541
_cell_angle_alpha 90.00
_cell_angle_beta 90.00
_cell_angle_gamma 120.00
_space_group_name_H-M_alt 'R 3'
_space_group_IT_number 146
_space_group_name_Hall 'R 3'
loop_
_atom_site_label
_atom_site_fract_x
_atom_site_fract_y
_atom_site_fract_z
_atom_site_occupancy
Li1 0.0000 0.0000 0.0000 1
Li2 0.0075 0.3707 0.7509 1
Li3 0.0257 0.7192 0.5866 1
V1 0.0000 0.0000 0.1796 1
V2 0.0000 0.0000 0.3836 1
V3 0.0000 0.0000 0.6898 1
V4 0.0000 0.0000 0.8858 1
P1 0.0041 0.7049 0.7854 1
P2 0.0046 0.2941 0.2880 1
O1 0.0133 0.2012 0.2318 1
O2 0.0521 0.8442 0.1205 1
O3 0.0858 0.8572 0.4325 1
O4 0.0954 0.8670 0.7414 1
O5 0.1113 0.6727 0.5129 1
O6 0.1658 0.4502 0.6155 1
O7 0.1776 0.4313 0.0057 1
O8 0.2038 0.4445 0.3021 1
```